Starting from a structure optimized by DFT (PBE+U), the powder diffraction line list of HgMoO2 was computed for Cu Kα (λ = 1.5418 Å).
Peak positions follow from Bragg's law for the DFT cell and can differ from measured ones.

Structural model:
```
HgMoO2
1.0
0.0000 4.4732 4.4732
4.4732 0.0000 4.4732
4.4732 4.4732 0.0000
Hg Mo O
2 2 4
direct
0.1250 0.1250 0.1250
0.8750 0.8750 0.8750
0.3750 0.3750 0.3750
0.6250 0.6250 0.6250
0.0000 0.5000 0.5000
0.5000 0.0000 0.5000
0.5000 0.5000 0.0000
0.5000 0.5000 0.5000
```

Peak list (8 most intense, 2θ = 5–70°, in order of falling intensity)
d/Å	2theta	Rel. int.
3.163	28.21	100
1.826	49.94	42
1.415	66.05	18
1.582	58.35	15
2.237	40.33	15
2.697	33.21	12
5.165	17.17	6
1.722	53.20	4